The following is a simulated X-ray diffraction stick pattern of BaYMnCoO5. It was derived from a structure optimized by DFT (PBE+U), using CuKα.
Kinematic intensities with the Lorentz-polarization factor, no thermal factor.

Crystal structure
```
data_BaYMnCoO5
_chemical_formula_sum 'Ba2 Y2 Mn2 Co2 O10'
_space_group_name_H-M_alt 'P 1'
_space_group_IT_number 1
_space_group_name_Hall 'P 1'
_cell_length_a 5.595
_cell_length_b 5.601
_cell_length_c 8.662
_cell_angle_alpha 108.37
_cell_angle_beta 108.27
_cell_angle_gamma 91.26
loop_
_atom_site_label
_atom_site_fract_x
_atom_site_fract_y
_atom_site_fract_z
Ba1 0.000 0.000 0.000
Ba2 0.496 0.505 0.999
Y1 0.242 0.244 0.487
Y2 0.741 0.745 0.488
Mn1 0.356 0.859 0.716
Mn2 0.865 0.368 0.736
Co1 0.124 0.627 0.253
Co2 0.625 0.129 0.245
O1 0.088 0.592 0.668
O2 0.095 0.077 0.673
O3 0.383 0.885 0.303
O4 0.407 0.394 0.304
O5 0.490 0.994 0.986
O6 0.573 0.076 0.665
O7 0.574 0.598 0.674
O8 0.892 0.910 0.304
O9 0.916 0.419 0.307
O10 0.994 0.497 0.000
```

Most intense lines, 15° ≤ 2θ ≤ 90°, sorted by position:
hkl 2 0 -1, 2θ 31.98, I 84
hkl 1 -1 2, 2θ 32.18, I 100
hkl 1 1 -3, 2θ 32.54, I 99
hkl 2 0 1, 2θ 39.73, I 22
hkl 2 -2 0, 2θ 45.33, I 32
hkl 2 2 -2, 2θ 46.39, I 29
hkl 0 0 4, 2θ 46.97, I 19
hkl 3 -1 1, 2θ 56.87, I 29
hkl 3 1 -4, 2θ 57.64, I 18
hkl 0 2 -5, 2θ 57.92, I 32

The following is a simulated X-ray diffraction stick pattern of Ba4NbCo2MoO12. It was derived from a structure optimized by DFT (PBE+U), using CuKα.
Kinematic intensities with the Lorentz-polarization factor, no thermal factor.

Crystal structure
```
data_Ba4NbCo2MoO12
_chemical_formula_sum 'Ba4 Nb1 Co2 Mo1 O12'
_space_group_name_H-M_alt 'P 4/m m m'
_space_group_IT_number 123
_space_group_name_Hall '-P 4 2'
_cell_length_a 5.822
_cell_length_b 5.822
_cell_length_c 8.118
_cell_angle_alpha 90.00
_cell_angle_beta 90.00
_cell_angle_gamma 90.00
loop_
_atom_site_label
_atom_site_fract_x
_atom_site_fract_y
_atom_site_fract_z
Ba1 0.000 0.500 0.249
Nb1 0.000 0.000 0.000
Co1 0.000 0.000 0.500
Co2 0.500 0.500 0.000
Mo1 0.500 0.500 0.500
O1 0.000 0.000 0.259
O2 0.243 0.243 0.000
O3 0.260 0.260 0.500
O4 0.500 0.500 0.264
```

Most intense lines, 15° ≤ 2θ ≤ 90°, sorted by position:
hkl 2 0 0, 2θ 30.71, I 51
hkl 1 1 2, 2θ 30.94, I 100
hkl 2 0 2, 2θ 38.04, I 15
hkl 2 2 0, 2θ 43.99, I 33
hkl 0 0 4, 2θ 44.65, I 16
hkl 3 1 2, 2θ 54.75, I 40
hkl 2 0 4, 2θ 55.17, I 19
hkl 2 2 4, 2θ 64.48, I 19
hkl 5 1 2, 2θ 89.08, I 11
hkl 4 2 4, 2θ 89.42, I 11